Diffraction record for TlTeF5. The powder X-ray diffraction pattern is simulated, not measured: it uses a crystal structure in the Materials Project, relaxed with GGA-PBE and Cu Kα (λ = 1.5418 Å).
Neutral-atom scattering factors, no anomalous dispersion.

Atomic structure:
Lattice parameters (Å, degrees): 17.1273 6.2808 4.9522 90.00 90.00 90.00
Sites, in units of the cell vectors:
Tl (0.0656, 0.2500, 0.1777)
Tl (0.4344, 0.7500, 0.6777)
Tl (0.5656, 0.2500, 0.3223)
Tl (0.9344, 0.7500, 0.8223)
Te (0.1639, 0.7500, 0.5446)
Te (0.3361, 0.2500, 0.0446)
Te (0.6639, 0.7500, 0.9554)
Te (0.8361, 0.2500, 0.4554)
F (0.0750, 0.7500, 0.3037)
F (0.0958, 0.5237, 0.7182)
F (0.0958, 0.9763, 0.7182)
F (0.1985, 0.5271, 0.2807)
F (0.1985, 0.9729, 0.2807)
F (0.3015, 0.0271, 0.7807)
F (0.3015, 0.4729, 0.7807)
F (0.4042, 0.0237, 0.2182)
F (0.4042, 0.4763, 0.2182)
F (0.4250, 0.2500, 0.8037)
F (0.5750, 0.7500, 0.1963)
F (0.5958, 0.5237, 0.7818)
F (0.5958, 0.9763, 0.7818)
F (0.6985, 0.5271, 0.2193)
F (0.6985, 0.9729, 0.2193)
F (0.8015, 0.0271, 0.7193)
F (0.8015, 0.4729, 0.7193)
F (0.9042, 0.0237, 0.2818)
F (0.9042, 0.4763, 0.2818)
F (0.9250, 0.2500, 0.6963)

The 10 most intense peaks (2θ = 10–90°), low angle first:
2θ/deg	I/Imax
10.33	172
20.73	266
22.87	460
23.46	481
23.79	276
25.17	1000
27.54	199
28.42	257
35.43	158
39.99	470


Diffraction record for Gd3Y13O24. The powder X-ray diffraction pattern is simulated, not measured: it uses a crystal structure in the Materials Project, relaxed with GGA-PBE and Cu Kα (λ = 1.5418 Å).
Neutral-atom scattering factors, no anomalous dispersion.

Atomic structure:
Lattice parameters (Å, degrees): 9.2926 9.2926 10.7311 125.24 125.24 70.56
Sites, in units of the cell vectors:
Gd (0.0000, 0.0000, 0.0000)
Gd (0.2825, 0.2180, 0.9677)
Gd (0.7820, 0.7175, 0.0323)
Y (0.0322, 0.4668, 0.7486)
Y (0.0321, 0.4685, 0.2511)
Y (0.0652, 0.9348, 0.5000)
Y (0.2491, 0.6837, 0.7160)
Y (0.2829, 0.2182, 0.4682)
Y (0.3163, 0.7509, 0.2840)
Y (0.4991, 0.5009, 0.0000)
Y (0.5315, 0.9679, 0.7489)
Y (0.5332, 0.9678, 0.2514)
Y (0.5652, 0.4348, 0.5000)
Y (0.7499, 0.1861, 0.2183)
Y (0.7818, 0.7171, 0.5318)
Y (0.8139, 0.2501, 0.7817)
O (0.0013, 0.2409, 0.2632)
O (0.0200, 0.1966, 0.7061)
O (0.0427, 0.7361, 0.7899)
O (0.0660, 0.6959, 0.2414)
O (0.0724, 0.2313, 0.0222)
O (0.2601, 0.5017, 0.0203)
O (0.2639, 0.9573, 0.2101)
O (0.2717, 0.4250, 0.7183)
O (0.2930, 0.0103, 0.5217)
O (0.3030, 0.4781, 0.4889)
O (0.3041, 0.9340, 0.7586)
O (0.4919, 0.2066, 0.2205)
O (0.4983, 0.7399, 0.9797)
O (0.5219, 0.6970, 0.5111)
O (0.5446, 0.2388, 0.9895)
O (0.5636, 0.1965, 0.5209)
O (0.5750, 0.7283, 0.2817)
O (0.7591, 0.9987, 0.7368)
O (0.7612, 0.4554, 0.0105)
O (0.7687, 0.9276, 0.9778)
O (0.7934, 0.5081, 0.7795)
O (0.8035, 0.4364, 0.4791)
O (0.8034, 0.9800, 0.2939)
O (0.9897, 0.7070, 0.4783)

The 10 most intense peaks (2θ = 10–90°), low angle first:
2θ/deg	I/Imax
20.27	152
28.82	1000
33.40	278
35.49	70
42.97	106
47.95	418
52.57	66
56.91	297
58.31	71
77.54	78


Diffraction record for CsNa2. The powder X-ray diffraction pattern is simulated, not measured: it uses a crystal structure in the Materials Project, relaxed with GGA-PBE and Cu Kα (λ = 1.5418 Å).
Neutral-atom scattering factors, no anomalous dispersion.

Atomic structure:
Lattice parameters (Å, degrees): 7.7248 7.7248 12.7309 90.00 90.00 120.00
Sites, in units of the cell vectors:
Cs (0.3333, 0.6667, 0.0633)
Cs (0.3333, 0.6667, 0.4367)
Cs (0.6667, 0.3333, 0.5633)
Cs (0.6667, 0.3333, 0.9367)
Na (0.0000, 0.0000, 0.0000)
Na (0.0000, 0.0000, 0.5000)
Na (0.1680, 0.3360, 0.7500)
Na (0.1680, 0.8320, 0.7500)
Na (0.3360, 0.1680, 0.2500)
Na (0.6640, 0.8320, 0.7500)
Na (0.8320, 0.1680, 0.2500)
Na (0.8320, 0.6640, 0.2500)

The 10 most intense peaks (2θ = 10–90°), low angle first:
2θ/deg	I/Imax
13.23	346
14.96	259
23.03	762
24.85	1000
27.00	812
27.57	330
41.58	491
44.74	315
50.91	238
53.93	229


Diffraction record for K3SmB2O6. The powder X-ray diffraction pattern is simulated, not measured: it uses a crystal structure in the Materials Project, relaxed with GGA-PBE and Cu Kα (λ = 1.5418 Å).
Neutral-atom scattering factors, no anomalous dispersion.

Atomic structure:
Lattice parameters (Å, degrees): 9.0900 7.1996 11.2857 90.00 90.00 90.00
Sites, in units of the cell vectors:
K (0.0609, 0.2500, 0.1304)
K (0.1991, 0.0036, 0.4030)
K (0.1991, 0.4964, 0.4030)
K (0.3009, 0.5036, 0.9030)
K (0.3009, 0.9964, 0.9030)
K (0.4391, 0.7500, 0.6304)
K (0.5609, 0.2500, 0.3696)
K (0.6991, 0.0036, 0.0970)
K (0.6991, 0.4964, 0.0970)
K (0.8009, 0.5036, 0.5970)
K (0.8009, 0.9964, 0.5970)
K (0.9391, 0.7500, 0.8696)
Sm (0.1262, 0.2500, 0.6689)
Sm (0.3738, 0.7500, 0.1689)
Sm (0.6262, 0.2500, 0.8311)
Sm (0.8738, 0.7500, 0.3311)
B (0.0625, 0.7500, 0.1265)
B (0.0887, 0.7500, 0.6160)
B (0.4113, 0.2500, 0.1160)
B (0.4375, 0.2500, 0.6265)
B (0.5625, 0.7500, 0.3735)
B (0.5887, 0.7500, 0.8840)
B (0.9113, 0.2500, 0.3840)
B (0.9375, 0.2500, 0.8735)
O (0.0084, 0.7500, 0.5101)
O (0.0885, 0.2500, 0.8841)
O (0.1216, 0.7500, 0.2424)
O (0.1279, 0.5814, 0.6692)
O (0.1279, 0.9186, 0.6692)
O (0.1609, 0.7500, 0.0336)
O (0.3391, 0.2500, 0.5336)
O (0.3721, 0.0814, 0.1692)
O (0.3721, 0.4186, 0.1692)
O (0.3784, 0.2500, 0.7424)
O (0.4115, 0.7500, 0.3841)
O (0.4916, 0.2500, 0.0101)
O (0.5084, 0.7500, 0.9899)
O (0.5885, 0.2500, 0.6159)
O (0.6216, 0.7500, 0.2576)
O (0.6279, 0.5814, 0.8308)
O (0.6279, 0.9186, 0.8308)
O (0.6609, 0.7500, 0.4664)
O (0.8391, 0.2500, 0.9664)
O (0.8721, 0.0814, 0.3308)
O (0.8721, 0.4186, 0.3308)
O (0.8784, 0.2500, 0.7576)
O (0.9115, 0.7500, 0.1159)
O (0.9916, 0.2500, 0.4899)

The 10 most intense peaks (2θ = 10–90°), low angle first:
2θ/deg	I/Imax
12.50	316
14.59	1000
21.07	333
22.28	336
23.14	409
24.73	350
31.07	740
31.71	347
33.57	356
39.64	323


> What is the formula in the second record?

Gd3Y13O24


> Number 2 is which compound?

Gd3Y13O24